Entry 1:
Diffraction record for K2ScTcO6. The powder diffraction line list is computed, not measured: it uses a PBE-relaxed structure and Cu Ka.

Principal peaks in the range 2θ = 10–90°, by angle:
Position (°2θ)  I_rel  h k l
16.37  27.2  0 0 1
16.68  100.0  1 0 0
29.10  50.0  1 1 0
37.27  23.5  0 1 2
47.97  26.8  2 0 2
57.09  21.4  1 2 2

Cell and atoms:
Cell: 6.1367 6.1367 5.4154 Å, 90.00 90.00 120.00°
Space group P-3m1 (No. 164)
Symmetry-distinct sites (fractional):
K (0.3333, 0.6667, 0.1458) (multiplicity 2)
Sc (0.0000, 0.0000, 0.5000) (multiplicity 1)
Tc (0.0000, 0.0000, 0.0000) (multiplicity 1)
O (0.1410, 0.2820, 0.7814) (multiplicity 6)

=====

Entry 2:
Diffraction record for KSc3Te4O12. The powder diffraction line list is computed, not measured: it uses a PBE-relaxed structure and Cu Ka.

Principal peaks in the range 2θ = 10–90°, by angle:
Position (°2θ)  I_rel  h k l
15.85  24.4  1 1 0
26.41  35.4  2 1 1
27.57  100.0  2 0 2
34.80  23.7  1 1 3
34.96  28.1  1 3 1
45.85  23.8  2 3 2

Cell and atoms:
Cell: 11.1826 11.1826 8.7147 Å, 90.00 90.00 120.00°
Space group R32 (No. 155, hexagonal axes)
Symmetry-distinct sites (fractional):
K (0.0000, 0.0000, 0.0000) (multiplicity 3)
Sc (0.0000, 0.5761, 0.0000) (multiplicity 9)
Te (0.0000, 0.0000, 0.5000) (multiplicity 3)
Te (0.0000, 0.4040, 0.5000) (multiplicity 9)
O (0.0000, 0.5758, 0.5000) (multiplicity 9)
O (0.0000, 0.8139, 0.5000) (multiplicity 9)
O (0.0458, 0.1877, 0.2546) (multiplicity 18)

=====

Entry 3:
Diffraction record for K3ScU2O9. The powder diffraction line list is computed, not measured: it uses a PBE-relaxed structure and Cu Ka.

Principal peaks in the range 2θ = 10–90°, by angle:
Position (°2θ)  I_rel  h k l
20.98  78.3  1 0 1
29.84  100.0  1 1 0
42.71  33.5  2 0 2
48.05  33.2  2 1 1
52.97  42.6  3 0 0
61.99  21.3  2 2 0

Cell and atoms:
Cell: 5.9860 5.9860 7.3394 Å, 90.00 90.00 120.00°
Space group P-3m1 (No. 164)
Symmetry-distinct sites (fractional):
K (0.0000, 0.0000, 0.0000) (multiplicity 1)
K (0.3333, 0.6667, 0.6606) (multiplicity 2)
Sc (0.0000, 0.0000, 0.5000) (multiplicity 1)
U (0.3333, 0.6667, 0.1758) (multiplicity 2)
O (0.0000, 0.5000, 0.0000) (multiplicity 3)
O (0.1694, 0.3388, 0.3310) (multiplicity 6)